# SnH22C6N2Cl4
Theoretical powder XRD pattern, copper Kα. Input: the GGA-PBE geometry in Alexandria.
Intensities are scaled so that the largest is 100.

Largest 10 diffraction maxima, in order of falling intensity, 2θ = 10–80°:
| two_theta | intensity |
| --- | --- |
| 15.37 | 100 |
| 10.95 | 77 |
| 13.21 | 74 |
| 28.00 | 44 |
| 19.73 | 43 |
| 27.60 | 43 |
| 13.62 | 42 |
| 18.66 | 38 |
| 12.91 | 32 |
| 37.85 | 24 |

Atomic structure:
abc: 6.8615 7.3602 8.7812
angles: 109.98 99.62 93.84
Fractional positions:
Sn  0.0000  0.0000  0.0000
H  0.0763  0.7403  0.5052
H  0.1140  0.5625  0.2253
H  0.2018  0.2715  0.9219
H  0.2086  0.5345  0.4885
H  0.2250  0.7967  0.2957
H  0.2342  0.0297  0.7926
H  0.3435  0.7759  0.5679
H  0.3760  0.1357  0.0017
H  0.4289  0.4460  0.2718
H  0.4308  0.5907  0.1434
H  0.4506  0.3062  0.6414
H  0.5494  0.6938  0.3586
H  0.5692  0.4093  0.8566
H  0.5711  0.5540  0.7282
H  0.6240  0.8643  0.9983
H  0.6565  0.2241  0.4321
H  0.7658  0.9703  0.2074
H  0.7750  0.2033  0.7043
H  0.7914  0.4655  0.5115
H  0.7982  0.7285  0.0781
H  0.8860  0.4375  0.7747
H  0.9237  0.2597  0.4948
C  0.2140  0.6796  0.4798
C  0.2345  0.1268  0.9188
C  0.4250  0.5928  0.2677
C  0.5750  0.4072  0.7323
C  0.7655  0.8732  0.0812
C  0.7860  0.3204  0.5202
N  0.2344  0.6610  0.3092
N  0.7656  0.3390  0.6908
Cl  0.1411  0.6598  0.8943
Cl  0.2295  0.0884  0.3018
Cl  0.7705  0.9116  0.6982
Cl  0.8589  0.3402  0.1057

=====

# TmSi2Rh4
Theoretical powder XRD pattern, copper Kα. Input: the GGA-PBE geometry in Alexandria.
Intensities are scaled so that the largest is 100.

Largest 10 diffraction maxima, in order of falling intensity, 2θ = 10–80°:
| two_theta | intensity |
| --- | --- |
| 37.64 | 100 |
| 37.86 | 60 |
| 45.07 | 38 |
| 39.51 | 36 |
| 40.57 | 26 |
| 71.74 | 25 |
| 45.81 | 20 |
| 35.55 | 17 |
| 62.23 | 15 |
| 66.22 | 13 |

Atomic structure:
abc: 16.6117 4.0234 6.3627
angles: 90.00 90.00 90.00
Fractional positions:
Tm  0.1380  0.2500  0.0059
Tm  0.3620  0.7500  0.5059
Tm  0.6380  0.2500  0.4941
Tm  0.8620  0.7500  0.9941
Si  0.0392  0.7500  0.2595
Si  0.2181  0.2500  0.5243
Si  0.2819  0.7500  0.0243
Si  0.4608  0.2500  0.7595
Si  0.5392  0.7500  0.2405
Si  0.7181  0.2500  0.9757
Si  0.7819  0.7500  0.4757
Si  0.9608  0.2500  0.7405
Rh  0.0301  0.7500  0.8558
Rh  0.0751  0.2500  0.5034
Rh  0.1838  0.7500  0.3084
Rh  0.1947  0.7500  0.7316
Rh  0.3053  0.2500  0.2316
Rh  0.3162  0.2500  0.8084
Rh  0.4249  0.7500  0.0034
Rh  0.4699  0.2500  0.3558
Rh  0.5301  0.7500  0.6442
Rh  0.5751  0.2500  0.9966
Rh  0.6838  0.7500  0.1916
Rh  0.6947  0.7500  0.7684
Rh  0.8053  0.2500  0.2684
Rh  0.8162  0.2500  0.6916
Rh  0.9249  0.7500  0.4966
Rh  0.9699  0.2500  0.1442